For TbZr2Tl3Te6, a GGA-PBE-relaxed structure gives the theoretical XRD peak list in this record (a wavelength of 1.5418 Å).
Kinematic intensities with the Lorentz-polarization factor, no thermal factor.

Most intense lines, 10° ≤ 2θ ≤ 80°, sorted by position:
28.29 deg, d 3.155, I = 100
30.26 deg, d 2.954, I = 10
37.72 deg, d 2.385, I = 40
43.01 deg, d 2.103, I = 41
52.28 deg, d 1.750, I = 18
53.48 deg, d 1.713, I = 7
58.51 deg, d 1.577, I = 11
62.45 deg, d 1.487, I = 14
69.93 deg, d 1.345, I = 14
75.31 deg, d 1.262, I = 10

Cell and atoms:
Cell lengths 7.284, 12.622, 8.757 Å; angles 90.00, 106.12, 90.00 degrees
Space group C2/m (No. 12)
Unique sites:
1 Tb 0.000 0.000 0.000 (multiplicity 2)
2 Zr 0.000 0.332 0.000 (multiplicity 4)
3 Tl 0.000 0.160 0.500 (multiplicity 4)
4 Tl 0.000 0.500 0.500 (multiplicity 2)
5 Te 0.222 0.500 0.208 (multiplicity 4)
6 Te 0.245 0.173 0.213 (multiplicity 8)